Structure and computed X-ray powder pattern of CsCoMoO4 (a structure optimized by DFT (GGA+U); λ = 1.5418 Å (Cu Kα)).

Atomic structure:
```
CsCoMoO4
1.0
5.816 0.000 0.000
0.000 5.718 0.000
-1.110 0.000 7.298
Cs Co Mo O
2 2 2 8
Direct
0.212 0.250 0.082
0.788 0.750 0.918
0.390 0.250 0.639
0.610 0.750 0.361
0.147 0.750 0.477
0.853 0.250 0.523
0.122 0.022 0.647
0.122 0.478 0.647
0.279 0.750 0.250
0.472 0.750 0.585
0.528 0.250 0.415
0.721 0.250 0.750
0.878 0.522 0.353
0.878 0.978 0.353
```

Peak list (10 most intense, 2θ = 10–90°, low angle first)
- (0 0 1), 2θ 12.13, I = 33
- (1 1 -1), 2θ 23.95, I = 52
- (0 0 2), 2θ 24.39, I = 26
- (1 1 1), 2θ 26.25, I = 100
- (1 0 -2), 2θ 26.90, I = 59
- (0 1 2), 2θ 29.03, I = 72
- (0 2 0), 2θ 31.29, I = 69
- (2 1 -1), 2θ 35.46, I = 54
- (1 1 -4), 2θ 52.80, I = 27
- (1 2 3), 2θ 53.69, I = 27